Starting from a crystal structure in the Materials Project, relaxed with PBE+U, the powder diffraction line list of CoGe2O6 was calculated for Cu Kα, 1.54184 Å.
Kinematic intensities with the Lorentz-polarization factor, no thermal factor.

```
36
Lattice="10.150 0.000 0.000 0.000 8.951 0.000 -1.342 0.000 5.333" Properties=species:S:1:pos:R:3 pbc="T T T"
Co 2.101 1.337 1.385
Co 1.430 3.138 4.052
Co 7.378 5.813 1.281
Co 6.707 7.613 3.948
Ge -0.436 5.969 3.685
Ge 0.235 7.457 1.019
Ge 3.697 5.889 4.626
Ge 4.368 7.537 1.960
Ge 4.439 1.413 3.374
Ge 5.110 3.062 0.707
Ge 8.573 1.494 4.315
Ge 9.244 2.981 1.648
O 0.589 6.283 2.286
O -0.082 7.143 4.953
O 0.805 0.080 1.606
O 0.134 4.395 4.272
O 0.148 1.605 4.776
O 0.819 2.870 2.109
O 2.646 1.792 3.250
O 3.317 2.683 0.583
O 3.710 0.278 1.665
O 3.039 4.197 4.331
O 3.388 6.452 2.944
O 4.060 6.974 0.278
O 4.748 1.977 5.056
O 5.419 2.499 2.389
O 5.769 4.753 1.002
O 5.098 8.673 3.669
O 5.491 6.268 4.750
O 6.162 7.158 2.084
O 7.989 6.080 3.224
O 8.660 7.346 0.557
O 8.674 4.556 1.061
O 8.003 8.870 3.728
O 8.890 1.807 0.381
O 8.219 2.668 3.047
```

Top 10 peaks for 15 to 90 degrees two-theta, sorted by position:
- hkl 2 0 0, 2θ = 18.02°, I = 30
- hkl 1 1 -1, 2θ = 19.58°, I = 100
- hkl 0 2 0, 2θ = 19.84°, I = 45
- hkl 3 1 0, 2θ = 28.98°, I = 58
- hkl 2 2 -1, 2θ = 29.32°, I = 59
- hkl 2 2 1, 2θ = 34.14°, I = 56
- hkl 1 3 -1, 2θ = 34.57°, I = 37
- hkl 1 1 2, 2θ = 38.40°, I = 30
- hkl 3 1 -2, 2θ = 39.29°, I = 23
- hkl 5 3 -1, 2θ = 55.03°, I = 22

Starting from a crystal structure in the Materials Project, relaxed with PBE+U, the powder diffraction line list of LiVO2F2 was calculated for Cu Kα, 1.54184 Å.
Kinematic intensities with the Lorentz-polarization factor, no thermal factor.

```
12
Lattice="6.298 0.000 0.000 0.000 3.539 0.000 -2.407 0.000 6.273" Properties=species:S:1:pos:R:3 pbc="T T T"
Li 0.597 0.885 1.272
Li 3.293 2.654 5.001
V 0.358 0.885 4.834
V 3.533 2.654 1.439
O 0.007 0.885 3.252
O 0.504 2.654 5.333
O 3.387 0.885 0.940
O 3.884 2.654 3.021
F -1.428 0.885 5.556
F 1.624 2.654 1.585
F 2.267 0.885 4.688
F 5.319 2.654 0.717
```

Top 10 peaks for 15 to 90 degrees two-theta, sorted by position:
- hkl 1 0 0, 2θ = 15.07°, I = 65
- hkl 1 0 -1, 2θ = 16.56°, I = 88
- hkl 0 0 2, 2θ = 28.49°, I = 68
- hkl 0 1 1, 2θ = 28.97°, I = 100
- hkl 1 1 0, 2θ = 29.46°, I = 51
- hkl 1 0 2, 2θ = 37.00°, I = 33
- hkl 3 0 -2, 2θ = 44.90°, I = 39
- hkl 3 1 -1, 2θ = 50.60°, I = 23
- hkl 0 2 0, 2θ = 51.66°, I = 30
- hkl 1 1 3, 2θ = 58.02°, I = 21

Starting from a crystal structure in the Materials Project, relaxed with PBE+U, the powder diffraction line list of MgTe3WO12 was calculated for Cu Kα, 1.54184 Å.
Kinematic intensities with the Lorentz-polarization factor, no thermal factor.

```
17
Lattice="4.923 0.000 0.000 0.000 8.914 0.000 -0.217 0.000 5.314" Properties=species:S:1:pos:R:3 pbc="T T T"
Mg 0.000 0.000 0.000
Te 0.000 3.480 0.000
Te 2.461 6.200 0.000
Te 2.353 7.884 2.657
W -0.109 1.841 2.657
O 0.761 1.557 4.324
O 1.002 3.114 1.869
O 1.115 0.207 1.878
O 1.050 4.890 4.603
O 1.210 7.662 4.337
O 1.391 6.453 1.634
O 3.314 6.453 3.680
O 3.495 7.662 0.977
O 3.656 4.890 0.711
O 3.591 0.207 3.436
O 3.704 3.114 3.446
O 3.945 1.557 0.990
```

Top 10 peaks for 15 to 90 degrees two-theta, sorted by position:
- hkl 0 1 1, 2θ = 19.45°, I = 44
- hkl 1 1 0, 2θ = 20.62°, I = 100
- hkl 1 2 -1, 2θ = 31.50°, I = 38
- hkl 1 2 1, 2θ = 32.30°, I = 34
- hkl 0 0 2, 2θ = 33.73°, I = 14
- hkl 0 3 1, 2θ = 34.58°, I = 24
- hkl 1 1 -2, 2θ = 39.20°, I = 18
- hkl 1 1 2, 2θ = 40.51°, I = 18
- hkl 2 3 -1, 2θ = 50.64°, I = 15
- hkl 2 3 1, 2θ = 51.73°, I = 14